Starting from a GGA+U-relaxed structure, the X-ray diffraction stick pattern of SrEuCrWO6 was computed for Cu Kα.
No peak broadening, texture or thermal motion is included.

Crystal structure
```
data_SrEuCrWO6
_cell_length_a 7.9918
_cell_length_b 7.9918
_cell_length_c 7.9918
_cell_angle_alpha 90.00
_cell_angle_beta 90.00
_cell_angle_gamma 90.00
_symmetry_space_group_name_H-M 'F -4 3 m'
_symmetry_Int_Tables_number 216
_symmetry_space_group_name_Hall 'F -4 2 3'
loop_
_atom_site_label
_atom_site_fract_x
_atom_site_fract_y
_atom_site_fract_z
_atom_site_occupancy
Sr1 0.0000 0.0000 0.0000 1
Eu1 0.0000 0.0000 0.5000 1
Cr1 0.2500 0.2500 0.7500 1
W1 0.2500 0.2500 0.2500 1
O1 0.0006 0.2500 0.7500 1
```

The 12 most intense peaks (2θ = 10–90°), sorted by position:
two_theta	intensity	hkl
19.24	22	1 1 1
31.67	100	2 2 0
37.32	13	3 1 1
45.39	30	4 0 0
49.73	6	3 3 1
56.40	39	4 2 2
60.16	5	3 3 3
66.14	18	4 4 0
69.60	5	5 3 1
75.19	17	6 2 0
83.88	6	4 4 4
87.08	3	7 1 1